1.
This entry pairs a crystal structure of Li9Mn2Co5O16 with its theoretical X-ray diffraction stick pattern. Radiation: Cu Ka. Structure: a crystal structure in the Materials Project, relaxed with PBE+U.

Top 8 peaks for 10 to 90 degrees two-theta, by angle:
| two_theta | intensity |
| --- | --- |
| 18.29 | 100 |
| 35.21 | 14 |
| 36.32 | 25 |
| 42.52 | 26 |
| 43.99 | 52 |
| 57.84 | 9 |
| 62.70 | 14 |
| 62.97 | 13 |

Structure:
Lattice parameters (Å, degrees): 9.779 2.880 10.369 90.00 99.12 90.00
Fractional coordinates of all 32 atoms:
Li 0.000 0.000 0.000
Li 0.001 0.500 0.769
Li 0.006 0.000 0.540
Li 0.247 0.500 0.136
Li 0.256 0.500 0.646
Li 0.502 0.000 0.767
Li 0.506 0.000 0.275
Li 0.752 0.500 0.883
Li 0.757 0.500 0.411
Mn 0.003 0.500 0.268
Mn 0.498 0.500 0.020
Co 0.232 0.000 0.876
Co 0.258 0.000 0.397
Co 0.511 0.500 0.524
Co 0.751 0.000 0.143
Co 0.771 0.000 0.662
O 0.113 0.000 0.211
O 0.135 0.500 0.436
O 0.137 0.500 0.955
O 0.140 0.000 0.713
O 0.368 0.500 0.344
O 0.376 0.500 0.855
O 0.386 0.000 0.578
O 0.392 0.000 0.082
O 0.608 0.000 0.961
O 0.624 0.000 0.458
O 0.624 0.500 0.187
O 0.635 0.500 0.697
O 0.868 0.000 0.826
O 0.872 0.500 0.587
O 0.879 0.500 0.101
O 0.896 0.000 0.328



2.
This entry pairs a crystal structure of MgV2Bi2Pb2O10 with its theoretical X-ray diffraction stick pattern. Radiation: Cu Ka. Structure: a crystal structure in the Materials Project, relaxed with PBE+U.

Top 8 peaks for 10 to 90 degrees two-theta, by angle:
| two_theta | intensity |
| --- | --- |
| 17.00 | 86 |
| 23.29 | 100 |
| 25.33 | 80 |
| 27.98 | 57 |
| 28.25 | 68 |
| 32.32 | 40 |
| 36.52 | 39 |
| 38.31 | 46 |

Structure:
Lattice parameters (Å, degrees): 7.814 7.814 9.247 125.30 125.30 47.69
Fractional coordinates of all 17 atoms:
Mg 0.000 0.000 0.000
V 0.317 0.317 0.303
V 0.683 0.683 0.697
Bi 0.064 0.064 0.414
Bi 0.936 0.936 0.586
Pb 0.358 0.358 0.949
Pb 0.642 0.642 0.051
O 0.075 0.565 0.408
O 0.180 0.180 0.084
O 0.294 0.706 0.000
O 0.425 0.425 0.278
O 0.435 0.925 0.592
O 0.565 0.075 0.408
O 0.575 0.575 0.722
O 0.706 0.294 0.000
O 0.820 0.820 0.916
O 0.925 0.435 0.592



3.
This entry pairs a crystal structure of Mn3Cr3Co2O16 with its theoretical X-ray diffraction stick pattern. Radiation: Cu Ka. Structure: a crystal structure in the Materials Project, relaxed with PBE+U.

Top 8 peaks for 10 to 90 degrees two-theta, by angle:
| two_theta | intensity |
| --- | --- |
| 20.31 | 57 |
| 20.43 | 100 |
| 27.20 | 22 |
| 37.06 | 40 |
| 37.23 | 39 |
| 41.54 | 18 |
| 47.70 | 18 |
| 64.04 | 35 |

Structure:
Lattice parameters (Å, degrees): 5.816 5.816 8.698 90.57 90.57 60.00
Fractional coordinates of all 24 atoms:
Mn 0.000 0.000 0.000
Mn 0.168 0.663 0.499
Mn 0.663 0.168 0.499
Cr 0.500 0.997 0.011
Cr 0.667 0.667 0.510
Cr 0.997 0.500 0.011
Co 0.160 0.160 0.728
Co 0.496 0.496 0.229
O 0.000 0.000 0.609
O 0.159 0.159 0.118
O 0.173 0.654 0.108
O 0.300 0.300 0.872
O 0.306 0.877 0.869
O 0.352 0.352 0.366
O 0.356 0.780 0.367
O 0.489 0.997 0.605
O 0.494 0.494 0.612
O 0.654 0.173 0.108
O 0.655 0.655 0.105
O 0.780 0.356 0.367
O 0.832 0.832 0.897
O 0.833 0.833 0.393
O 0.877 0.306 0.869
O 0.997 0.489 0.605



4.
This entry pairs a crystal structure of Na3CoPCO7 with its theoretical X-ray diffraction stick pattern. Radiation: Cu Ka. Structure: a crystal structure in the Materials Project, relaxed with PBE+U.

Top 8 peaks for 10 to 90 degrees two-theta, by angle:
| two_theta | intensity |
| --- | --- |
| 19.86 | 32 |
| 26.55 | 100 |
| 33.15 | 48 |
| 33.38 | 96 |
| 34.30 | 69 |
| 34.35 | 29 |
| 48.95 | 42 |
| 54.67 | 36 |

Structure:
Lattice parameters (Å, degrees): 6.715 8.931 10.461 88.77 89.97 89.94
Fractional coordinates of all 52 atoms:
Na 0.000 0.000 0.000
Na 0.000 0.000 0.499
Na 0.243 0.812 0.258
Na 0.244 0.813 0.760
Na 0.487 0.001 0.500
Na 0.488 0.999 0.999
Na 0.500 0.461 0.245
Na 0.500 0.461 0.746
Na 0.744 0.649 0.487
Na 0.744 0.649 0.986
Na 0.988 0.460 0.245
Na 0.988 0.462 0.747
Co 0.244 0.382 0.484
Co 0.246 0.377 0.982
Co 0.740 0.083 0.263
Co 0.747 0.083 0.763
P 0.244 0.145 0.230
P 0.244 0.146 0.729
P 0.744 0.315 0.016
P 0.744 0.315 0.516
C 0.244 0.668 0.015
C 0.244 0.669 0.515
C 0.744 0.792 0.230
C 0.744 0.793 0.730
O 0.058 0.049 0.766
O 0.059 0.049 0.266
O 0.242 0.581 0.116
O 0.243 0.177 0.082
O 0.243 0.298 0.797
O 0.244 0.176 0.581
O 0.244 0.578 0.615
O 0.244 0.606 0.902
O 0.244 0.609 0.402
O 0.244 0.812 0.024
O 0.244 0.812 0.528
O 0.245 0.296 0.299
O 0.429 0.047 0.265
O 0.429 0.049 0.767
O 0.558 0.413 0.980
O 0.559 0.412 0.480
O 0.743 0.163 0.948
O 0.743 0.284 0.664
O 0.743 0.880 0.629
O 0.744 0.163 0.447
O 0.744 0.648 0.220
O 0.744 0.649 0.721
O 0.744 0.854 0.343
O 0.744 0.854 0.843
O 0.745 0.284 0.164
O 0.745 0.880 0.129
O 0.929 0.411 0.979
O 0.929 0.412 0.480



5.
This entry pairs a crystal structure of Ni3B2O6 with its theoretical X-ray diffraction stick pattern. Radiation: Cu Ka. Structure: a crystal structure in the Materials Project, relaxed with PBE+U.

Top 8 peaks for 10 to 90 degrees two-theta, by angle:
| two_theta | intensity |
| --- | --- |
| 22.41 | 43 |
| 33.50 | 100 |
| 36.07 | 41 |
| 40.17 | 50 |
| 52.77 | 31 |
| 54.99 | 42 |
| 60.82 | 22 |
| 68.93 | 21 |

Structure:
Lattice parameters (Å, degrees): 4.502 5.445 8.400 90.00 90.00 90.00
Fractional coordinates of all 22 atoms:
Ni 0.000 0.000 0.000
Ni 0.000 0.500 0.184
Ni 0.000 0.500 0.816
Ni 0.500 0.000 0.316
Ni 0.500 0.000 0.684
Ni 0.500 0.500 0.500
B 0.043 0.245 0.500
B 0.457 0.745 0.000
B 0.543 0.255 0.000
B 0.957 0.755 0.500
O 0.201 0.298 0.360
O 0.201 0.298 0.640
O 0.248 0.325 0.000
O 0.252 0.825 0.500
O 0.299 0.798 0.140
O 0.299 0.798 0.860
O 0.701 0.202 0.140
O 0.701 0.202 0.860
O 0.748 0.175 0.500
O 0.752 0.675 0.000
O 0.799 0.702 0.360
O 0.799 0.702 0.640



6.
This entry pairs a crystal structure of V2ZnO6 with its theoretical X-ray diffraction stick pattern. Radiation: Cu Ka. Structure: a crystal structure in the Materials Project, relaxed with PBE+U.

Top 8 peaks for 10 to 90 degrees two-theta, by angle:
| two_theta | intensity |
| --- | --- |
| 20.00 | 63 |
| 21.08 | 95 |
| 21.43 | 45 |
| 33.04 | 52 |
| 33.27 | 50 |
| 33.51 | 54 |
| 33.70 | 100 |
| 37.54 | 33 |

Structure:
Lattice parameters (Å, degrees): 4.892 5.323 8.051 89.98 88.96 89.32
Fractional coordinates of all 18 atoms:
V 0.000 0.000 0.000
V 0.044 0.001 0.544
V 0.500 0.499 0.500
V 0.544 0.501 0.045
Zn 0.086 0.497 0.802
Zn 0.586 0.999 0.302
O 0.183 0.997 0.350
O 0.232 0.734 0.993
O 0.233 0.255 0.990
O 0.233 0.726 0.622
O 0.236 0.259 0.623
O 0.379 0.496 0.308
O 0.683 0.497 0.850
O 0.732 0.232 0.493
O 0.732 0.753 0.491
O 0.734 0.762 0.123
O 0.735 0.229 0.122
O 0.879 0.997 0.808



7.
This entry pairs a crystal structure of MgCo4P8O28 with its theoretical X-ray diffraction stick pattern. Radiation: Cu Ka. Structure: a crystal structure in the Materials Project, relaxed with PBE+U.

Top 8 peaks for 10 to 90 degrees two-theta, by angle:
| two_theta | intensity |
| --- | --- |
| 14.49 | 20 |
| 14.61 | 31 |
| 17.13 | 100 |
| 22.66 | 20 |
| 27.66 | 45 |
| 29.21 | 57 |
| 29.46 | 34 |
| 40.58 | 18 |

Structure:
Lattice parameters (Å, degrees): 7.038 8.221 9.568 90.37 108.76 90.20
Fractional coordinates of all 41 atoms:
Mg 0.000 0.000 0.000
Co 0.019 0.469 0.401
Co 0.030 0.435 0.890
Co 0.555 0.985 0.874
Co 0.591 0.926 0.387
P 0.238 0.657 0.190
P 0.242 0.244 0.684
P 0.379 0.153 0.103
P 0.384 0.733 0.597
P 0.758 0.296 0.102
P 0.780 0.625 0.596
P 0.836 0.790 0.171
P 0.850 0.124 0.685
O 0.075 0.811 0.173
O 0.077 0.104 0.681
O 0.162 0.216 0.051
O 0.180 0.651 0.545
O 0.188 0.582 0.036
O 0.200 0.306 0.528
O 0.204 0.533 0.298
O 0.233 0.374 0.796
O 0.380 0.013 0.993
O 0.396 0.872 0.492
O 0.425 0.802 0.752
O 0.439 0.089 0.260
O 0.441 0.741 0.241
O 0.442 0.150 0.738
O 0.523 0.302 0.094
O 0.550 0.597 0.597
O 0.705 0.114 0.530
O 0.738 0.825 0.006
O 0.771 0.134 0.025
O 0.781 0.791 0.525
O 0.797 0.436 0.009
O 0.802 0.917 0.275
O 0.814 0.617 0.221
O 0.822 0.489 0.498
O 0.829 0.989 0.790
O 0.848 0.291 0.761
O 0.888 0.296 0.263
O 0.917 0.620 0.755



8.
This entry pairs a crystal structure of BaNdFe2O5 with its theoretical X-ray diffraction stick pattern. Radiation: Cu Ka. Structure: a crystal structure in the Materials Project, relaxed with PBE+U.

Top 8 peaks for 10 to 90 degrees two-theta, by angle:
| two_theta | intensity |
| --- | --- |
| 31.42 | 87 |
| 31.85 | 100 |
| 31.95 | 100 |
| 39.13 | 41 |
| 44.88 | 30 |
| 56.14 | 39 |
| 56.34 | 39 |
| 57.14 | 40 |

Structure:
Lattice parameters (Å, degrees): 4.039 7.823 8.027 90.00 90.00 90.00
Fractional coordinates of all 18 atoms:
Ba 0.000 0.003 0.000
Ba 0.000 0.997 0.500
Nd 0.000 0.498 0.000
Nd 0.000 0.502 0.500
Fe 0.500 0.256 0.252
Fe 0.500 0.273 0.749
Fe 0.500 0.727 0.249
Fe 0.500 0.744 0.752
O 0.000 0.306 0.251
O 0.000 0.308 0.750
O 0.000 0.692 0.250
O 0.000 0.694 0.751
O 0.500 0.012 0.253
O 0.500 0.306 0.007
O 0.500 0.314 0.495
O 0.500 0.686 0.995
O 0.500 0.694 0.507
O 0.500 0.988 0.753